No. 1
K2Se4N3: simulated powder X-ray diffraction pattern (a wavelength of 1.5418 Å), based on DFT lattice parameters and positions (PBE).

Cell and atoms:
```
K2Se4N3
1.0
6.7743 -7.2837 0.0000
6.7743 7.2837 0.0000
0.0000 0.0000 5.5569
K Se N
4 8 6
Direct
0.0169 0.2575 0.0000
0.2575 0.0169 0.5000
0.7425 0.9831 0.5000
0.9831 0.7425 0.0000
0.0944 0.5781 0.5000
0.3110 0.3900 0.5000
0.3900 0.3110 0.0000
0.4219 0.9056 0.0000
0.5781 0.0944 0.0000
0.6100 0.6890 0.0000
0.6890 0.6100 0.5000
0.9056 0.4219 0.5000
0.0000 0.0000 0.2500
0.0000 0.0000 0.7500
0.2733 0.2733 0.2500
0.2733 0.2733 0.7500
0.7267 0.7267 0.2500
0.7267 0.7267 0.7500
```

Most intense lines, 2θ from 15° to 90°, by intensity:
d (Å)	Position (°2θ)	I/Imax
2.535	35.4	100
4.848	18.3	98
3.701	24.0	95
2.778	32.2	67
1.869	48.7	52
3.387	26.3	44
4.314	20.6	41
2.148	42.1	39
3.642	24.4	33
3.307	27.0	31

No. 2
K2Se4N: simulated powder X-ray diffraction pattern (a wavelength of 1.5418 Å), based on DFT lattice parameters and positions (PBE).

Cell and atoms:
```
K2Se4N
1.0
4.5649 -4.7000 0.0000
4.5649 4.7000 0.0000
-0.1550 0.0000 11.4982
K Se N
4 8 2
Direct
0.1382 0.8618 0.5000
0.2957 0.6962 0.9270
0.6962 0.2957 0.4270
0.8618 0.1382 0.0000
0.1716 0.3006 0.6736
0.2038 0.3667 0.4703
0.3006 0.1716 0.1736
0.3075 0.8171 0.2181
0.3667 0.2038 0.9703
0.6888 0.7647 0.2710
0.7647 0.6888 0.7710
0.8171 0.3075 0.7181
0.7506 0.8775 0.4017
0.8775 0.7506 0.9017
```

Most intense lines, 2θ from 15° to 90°, by intensity:
d (Å)	Position (°2θ)	I/Imax
3.274	27.2	100
5.667	15.6	83
2.872	31.1	75
5.719	15.5	47
4.300	20.7	42
3.322	26.8	39
4.343	20.5	38
3.141	28.4	36
1.819	50.2	34
2.053	44.1	30

No. 3
KSe6N2: simulated powder X-ray diffraction pattern (a wavelength of 1.5418 Å), based on DFT lattice parameters and positions (PBE).

Cell and atoms:
```
KSe6N2
1.0
6.8916 -3.4115 0.0000
6.8916 3.4115 0.0000
-2.2667 0.0000 6.1614
K Se N
1 6 2
Direct
0.0000 0.0000 0.0000
0.0341 0.5046 0.3263
0.1708 0.8292 0.5000
0.4954 0.9659 0.6737
0.5046 0.0341 0.3263
0.8292 0.1708 0.5000
0.9659 0.4954 0.6737
0.2156 0.2156 0.2110
0.7844 0.7844 0.7890
```

Most intense lines, 2θ from 15° to 90°, by intensity:
d (Å)	Position (°2θ)	I/Imax
3.234	27.6	100
3.251	27.4	89
2.985	29.9	50
3.411	26.1	49
2.149	42.1	40
3.017	29.6	36
2.031	44.6	34
2.347	38.4	31
1.841	49.5	28
2.527	35.5	26

No. 4
K2TaSiN4: simulated powder X-ray diffraction pattern (a wavelength of 1.5418 Å), based on DFT lattice parameters and positions (PBE).

Cell and atoms:
```
K2TaSiN4
1.0
5.9960 0.0000 0.0000
0.0000 6.4269 0.0000
0.0000 0.0000 6.9201
K Ta Si N
4 2 2 8
Direct
0.2500 0.0006 0.1949
0.2500 0.4994 0.1949
0.7500 0.5006 0.8051
0.7500 0.9994 0.8051
0.2500 0.2500 0.6413
0.7500 0.7500 0.3587
0.2500 0.7500 0.6617
0.7500 0.2500 0.3383
0.0112 0.7500 0.5184
0.2500 0.5135 0.7911
0.2500 0.9865 0.7911
0.4888 0.7500 0.5184
0.5112 0.2500 0.4816
0.7500 0.0135 0.2089
0.7500 0.4865 0.2089
0.9888 0.2500 0.4816
```

Most intense lines, 2θ from 15° to 90°, by intensity:
d (Å)	Position (°2θ)	I/Imax
2.997	29.8	100
2.621	34.2	64
4.384	20.3	52
4.532	19.6	36
2.915	30.7	34
4.709	18.8	34
3.704	24.0	31
1.589	58.0	25
2.192	41.2	25
3.047	29.3	21

No. 5
K2SmTc2N4: simulated powder X-ray diffraction pattern (a wavelength of 1.5418 Å), based on DFT lattice parameters and positions (PBE).

Cell and atoms:
```
K2SmTc2N4
1.0
6.4579 -1.7599 0.0000
6.4579 1.7599 0.0000
-6.1122 0.0000 7.0510
K Sm Tc N
2 1 2 4
Direct
0.1540 0.1540 0.2518
0.8460 0.8460 0.7482
0.0000 0.0000 0.5000
0.3488 0.3488 0.1269
0.6512 0.6512 0.8731
0.2124 0.2124 0.8315
0.4679 0.4679 0.6522
0.5321 0.5321 0.3478
0.7876 0.7876 0.1685
```

Most intense lines, 2θ from 15° to 90°, by intensity:
d (Å)	Position (°2θ)	I/Imax
2.770	32.3	100
2.659	33.7	72
3.225	27.7	58
2.736	32.7	46
2.325	38.7	45
1.931	47.1	41
2.244	40.2	31
3.032	29.5	31
2.389	37.7	25
1.614	57.1	24

No. 6
KSmTcN3: simulated powder X-ray diffraction pattern (a wavelength of 1.5418 Å), based on DFT lattice parameters and positions (PBE).

Cell and atoms:
```
KSmTcN3
1.0
6.8317 -1.9563 0.0000
6.8317 1.9563 0.0000
-2.0325 0.0000 7.5434
K Sm Tc N
2 2 2 6
Direct
0.1410 0.1410 0.0713
0.8590 0.8590 0.9287
0.1615 0.1615 0.5784
0.8385 0.8385 0.4216
0.4975 0.4975 0.6725
0.5025 0.5025 0.3275
0.0105 0.0105 0.3265
0.3418 0.3418 0.6241
0.3665 0.3665 0.2101
0.6335 0.6335 0.7899
0.6582 0.6582 0.3759
0.9895 0.9895 0.6735
```

Most intense lines, 2θ from 15° to 90°, by intensity:
d (Å)	Position (°2θ)	I/Imax
2.764	32.4	100
2.923	30.6	99
2.882	31.0	43
2.959	30.2	42
1.955	46.4	34
2.199	41.0	32
2.900	30.8	30
2.164	41.7	28
1.737	52.7	25
2.580	34.8	19

No. 7
KSnN3: simulated powder X-ray diffraction pattern (a wavelength of 1.5418 Å), based on DFT lattice parameters and positions (PBE).

Cell and atoms:
```
KSnN3
1.0
8.1608 0.0000 0.0000
-4.0804 7.0675 0.0000
0.0000 0.0000 7.3759
K Sn N
2 2 6
Direct
0.3333 0.6667 0.1861
0.6667 0.3333 0.8139
0.3333 0.6667 0.6805
0.6667 0.3333 0.3195
0.0803 0.5402 0.4722
0.4598 0.5402 0.4722
0.4598 0.9197 0.4722
0.5402 0.0803 0.5278
0.5402 0.4598 0.5278
0.9197 0.4598 0.5278
```

Most intense lines, 2θ from 15° to 90°, by intensity:
d (Å)	Position (°2θ)	I/Imax
4.080	21.8	100
5.103	17.4	61
3.270	27.3	56
2.163	41.8	44
2.552	35.2	43
2.736	32.7	37
1.785	51.2	25
2.512	35.7	24
2.671	33.5	23
1.731	52.9	22

No. 8
K3SrN: simulated powder X-ray diffraction pattern (a wavelength of 1.5418 Å), based on DFT lattice parameters and positions (PBE).

Cell and atoms:
```
K3SrN
1.0
5.9470 0.0000 0.0000
0.0000 5.9470 0.0000
0.0000 0.0000 5.9470
K Sr N
3 1 1
Direct
0.0000 0.0000 0.5000
0.0000 0.5000 0.0000
0.5000 0.0000 0.0000
0.5000 0.5000 0.5000
0.0000 0.0000 0.0000
```

Most intense lines, 2θ from 15° to 90°, by intensity:
d (Å)	Position (°2θ)	I/Imax
3.434	26.0	100
2.974	30.1	67
2.103	43.0	46
1.793	50.9	43
4.205	21.1	23
1.330	70.9	18
1.364	68.8	16
1.717	53.4	15
1.214	78.8	13
1.145	84.7	12

No. 9
K2SrTc2N4: simulated powder X-ray diffraction pattern (a wavelength of 1.5418 Å), based on DFT lattice parameters and positions (PBE).

Cell and atoms:
```
K2SrTc2N4
1.0
6.4578 -1.7904 0.0000
6.4578 1.7904 0.0000
-6.2078 0.0000 7.2820
K Sr Tc N
2 1 2 4
Direct
0.1471 0.1471 0.2444
0.8529 0.8529 0.7556
0.0000 0.0000 0.5000
0.3424 0.3424 0.1256
0.6576 0.6576 0.8744
0.2244 0.2244 0.8450
0.4775 0.4775 0.6812
0.5225 0.5225 0.3188
0.7756 0.7756 0.1550
```

Most intense lines, 2θ from 15° to 90°, by intensity:
d (Å)	Position (°2θ)	I/Imax
2.825	31.7	100
3.226	27.7	71
2.694	33.3	58
2.800	32.0	44
1.943	46.8	42
2.373	37.9	41
2.298	39.2	26
1.790	51.0	25
3.126	28.6	24
2.417	37.2	21

No. 10
K3Tc2N4: simulated powder X-ray diffraction pattern (a wavelength of 1.5418 Å), based on DFT lattice parameters and positions (PBE).

Cell and atoms:
```
K3Tc2N4
1.0
-3.0731 8.1919 4.1428
3.0731 -8.1919 4.1428
3.0731 8.1919 -4.1428
K Tc N
6 4 8
Direct
0.1710 0.0678 0.1032
0.2412 0.4912 0.7500
0.4646 0.0678 0.3968
0.5354 0.9322 0.6032
0.7588 0.5088 0.2500
0.8290 0.9322 0.8968
0.0945 0.6343 0.4603
0.3260 0.3657 0.9603
0.6740 0.6343 0.0397
0.9055 0.3657 0.5397
0.1671 0.5902 0.5769
0.1826 0.0000 0.6826
0.1826 0.5000 0.1826
0.4867 0.4098 0.0769
0.5133 0.5902 0.9231
0.8174 0.0000 0.3174
0.8174 0.5000 0.8174
0.8329 0.4098 0.4231
```

Most intense lines, 2θ from 15° to 90°, by intensity:
d (Å)	Position (°2θ)	I/Imax
3.152	28.3	100
3.073	29.1	86
4.936	18.0	84
2.908	30.7	75
2.408	37.3	61
2.371	37.9	46
3.047	29.3	42
4.228	21.0	36
2.877	31.1	33
1.681	54.6	31

No. 11
K3TcN4: simulated powder X-ray diffraction pattern (a wavelength of 1.5418 Å), based on DFT lattice parameters and positions (PBE).

Cell and atoms:
```
K3TcN4
1.0
5.2241 -3.5623 0.0000
5.2241 3.5623 0.0000
-3.0266 0.0000 4.8412
K Tc N
3 1 4
Direct
0.0000 0.0000 0.0000
0.2796 0.2723 0.7822
0.7277 0.7204 0.2178
0.4787 0.5213 0.5000
0.1858 0.4607 0.3268
0.5393 0.8142 0.6732
0.7435 0.2227 0.3796
0.7773 0.2565 0.6204
```

Most intense lines, 2θ from 15° to 90°, by intensity:
d (Å)	Position (°2θ)	I/Imax
3.165	28.2	100
3.118	28.6	98
2.854	31.3	63
3.562	25.0	61
5.552	16.0	57
2.227	40.5	38
4.455	19.9	33
1.971	46.1	32
1.959	46.3	30
4.757	18.7	25

No. 12
K5Tc2N5: simulated powder X-ray diffraction pattern (a wavelength of 1.5418 Å), based on DFT lattice parameters and positions (PBE).

Cell and atoms:
```
K5Tc2N5
1.0
3.4328 0.0000 0.0000
-1.6230 7.5788 0.0000
-0.0103 -1.3447 9.7902
K Tc N
5 2 5
Direct
0.0000 0.0000 0.0000
0.1257 0.2661 0.4617
0.2575 0.4869 0.1858
0.7425 0.5131 0.8142
0.8743 0.7339 0.5383
0.4708 0.9385 0.3071
0.5292 0.0615 0.6929
0.0913 0.1920 0.7392
0.4355 0.8628 0.7682
0.5000 0.0000 0.5000
0.5645 0.1372 0.2318
0.9087 0.8080 0.2608
```

Most intense lines, 2θ from 15° to 90°, by intensity:
d (Å)	Position (°2θ)	I/Imax
3.154	28.3	100
2.798	32.0	74
2.811	31.8	63
3.356	26.6	58
2.363	38.1	51
2.240	40.3	50
2.850	31.4	46
4.895	18.1	43
3.754	23.7	36
2.650	33.8	32

No. 13
KTc2N: simulated powder X-ray diffraction pattern (a wavelength of 1.5418 Å), based on DFT lattice parameters and positions (PBE).

Cell and atoms:
```
KTc2N
1.0
0.0000 4.4439 4.4439
4.4439 0.0000 4.4439
4.4439 4.4439 0.0000
K Tc N
2 4 2
Direct
0.1250 0.1250 0.1250
0.8750 0.8750 0.8750
0.0000 0.5000 0.5000
0.5000 0.0000 0.5000
0.5000 0.5000 0.0000
0.5000 0.5000 0.5000
0.3750 0.3750 0.3750
0.6250 0.6250 0.6250
```

Most intense lines, 2θ from 15° to 90°, by intensity:
d (Å)	Position (°2θ)	I/Imax
2.680	33.4	100
2.566	35.0	83
5.131	17.3	82
1.571	58.8	41
1.710	53.6	34
1.340	70.2	31
2.222	40.6	22
2.039	44.4	21
1.157	83.6	20
3.142	28.4	17